1.
Theoretical X-ray diffraction stick pattern of Mg3Si4 for a wavelength of 1.5418 Å, from a DFT-relaxed cell (PBE, the Materials Project).

Crystal structure
a b c (Å): 5.9861 6.8758 7.6350
angles (deg): 109.20 110.89 97.45
Positions (direct):
1 Mg 0.0000 0.0000 0.0000
2 Mg 0.0214 0.3982 0.3394
3 Mg 0.1127 0.1753 0.7142
4 Mg 0.1497 0.6064 0.0514
5 Mg 0.5210 0.5741 0.7780
6 Mg 0.6549 0.7572 0.4816
7 Si 0.1451 0.7652 0.6995
8 Si 0.2547 0.8986 0.4622
9 Si 0.4475 0.2900 0.3052
10 Si 0.5058 0.9980 0.0442
11 Si 0.5530 0.4345 0.0787
12 Si 0.6296 0.1512 0.8242
13 Si 0.8007 0.8114 0.1999
14 Si 0.8345 0.4306 0.6222

Most intense lines, 2θ = 10–80°, in order of rising 2θ:
two_theta  Rel. int.
33.13  100
34.13  59
36.64  55
38.55  61
39.21  72
40.77  66


2.
Theoretical X-ray diffraction stick pattern of Mg5Si6 for a wavelength of 1.5418 Å, from a DFT-relaxed cell (PBE, the Materials Project).

Crystal structure
a b c (Å): 5.3023 5.5237 13.6003
angles (deg): 90.62 96.86 96.74
Positions (direct):
1 Mg 0.0000 0.0000 0.0000
2 Mg 0.0043 0.0928 0.2316
3 Mg 0.1758 0.5110 0.0797
4 Mg 0.3480 0.1554 0.6137
5 Mg 0.4307 0.6283 0.4962
6 Mg 0.4649 0.7768 0.9333
7 Mg 0.5270 0.3920 0.2720
8 Mg 0.7032 0.1402 0.8035
9 Mg 0.8686 0.2564 0.4464
10 Mg 0.9219 0.5040 0.6466
11 Si 0.0571 0.5926 0.2760
12 Si 0.1467 0.9124 0.7621
13 Si 0.2473 0.3134 0.8591
14 Si 0.3238 0.1098 0.4204
15 Si 0.4464 0.0158 0.1205
16 Si 0.4563 0.5905 0.7340
17 Si 0.5487 0.8835 0.3158
18 Si 0.6296 0.3154 0.0059
19 Si 0.7256 0.6762 0.1306
20 Si 0.8229 0.9896 0.6187
21 Si 0.8956 0.6273 0.8558
22 Si 0.9363 0.7597 0.4358

Most intense lines, 2θ = 10–80°, in order of rising 2θ:
two_theta  Rel. int.
36.73  61
37.59  61
38.46  84
38.94  87
39.92  100
40.06  48


3.
Theoretical X-ray diffraction stick pattern of Mg4Si3 for a wavelength of 1.5418 Å, from a DFT-relaxed cell (PBE, the Materials Project).

Crystal structure
a b c (Å): 5.4416 7.0666 8.4239
angles (deg): 74.71 78.48 72.40
Positions (direct):
1 Mg 0.0000 0.0000 0.0000
2 Mg 0.0059 0.5983 0.3035
3 Mg 0.0747 0.5866 0.9169
4 Mg 0.3629 0.0892 0.4719
5 Mg 0.4805 0.1621 0.8387
6 Mg 0.4964 0.8445 0.1654
7 Mg 0.6035 0.4046 0.0870
8 Mg 0.8998 0.8360 0.6154
9 Si 0.1716 0.4435 0.6231
10 Si 0.1734 0.2413 0.1425
11 Si 0.4742 0.7762 0.8444
12 Si 0.5288 0.4792 0.4077
13 Si 0.8394 0.3038 0.6038
14 Si 0.8630 0.1464 0.3699

Most intense lines, 2θ = 10–80°, in order of rising 2θ:
two_theta  Rel. int.
31.15  100
33.19  42
33.91  55
35.64  68
38.96  86
43.68  44


4.
Theoretical X-ray diffraction stick pattern of Mg3Si4 for a wavelength of 1.5418 Å, from a DFT-relaxed cell (PBE, the Materials Project).

Crystal structure
a b c (Å): 5.6842 7.2016 7.5047
angles (deg): 107.73 102.14 109.99
Positions (direct):
1 Mg 0.0000 0.0000 0.0000
2 Mg 0.0893 0.3705 0.8472
3 Mg 0.3717 0.6775 0.6288
4 Mg 0.5590 0.1841 0.9838
5 Mg 0.6487 0.6516 0.2962
6 Mg 0.8725 0.1528 0.3974
7 Si 0.0449 0.9539 0.6391
8 Si 0.0960 0.4307 0.2315
9 Si 0.1936 0.7747 0.2015
10 Si 0.4166 0.2847 0.3695
11 Si 0.4515 0.0493 0.5502
12 Si 0.5029 0.8112 0.0242
13 Si 0.7189 0.5629 0.9275
14 Si 0.8467 0.5677 0.6325

Most intense lines, 2θ = 10–80°, in order of rising 2θ:
two_theta  Rel. int.
32.25  52
35.36  57
37.56  88
37.65  100
40.46  72
42.43  57


5.
Theoretical X-ray diffraction stick pattern of Mg4Si3 for a wavelength of 1.5418 Å, from a DFT-relaxed cell (PBE, the Materials Project).

Crystal structure
a b c (Å): 5.6030 7.2987 7.5936
angles (deg): 110.60 92.11 108.90
Positions (direct):
1 Mg 0.0000 0.0000 0.0000
2 Mg 0.0080 0.3940 0.3852
3 Mg 0.1354 0.1802 0.6685
4 Mg 0.1976 0.8214 0.2993
5 Mg 0.3734 0.6855 0.8997
6 Mg 0.5671 0.4827 0.1404
7 Mg 0.6311 0.7682 0.5680
8 Mg 0.7834 0.4829 0.7666
9 Si 0.0476 0.4065 0.0225
10 Si 0.1428 0.8011 0.6555
11 Si 0.4605 0.3386 0.4390
12 Si 0.5259 0.0849 0.1655
13 Si 0.5737 0.1057 0.8580
14 Si 0.7664 0.9334 0.3024

Most intense lines, 2θ = 10–80°, in order of rising 2θ:
two_theta  Rel. int.
33.17  49
34.71  100
35.14  69
37.33  49
38.01  81
44.22  56


6.
Theoretical X-ray diffraction stick pattern of Mg4Si3 for a wavelength of 1.5418 Å, from a DFT-relaxed cell (PBE, the Materials Project).

Crystal structure
a b c (Å): 6.3128 7.0837 7.6079
angles (deg): 115.29 105.07 97.73
Positions (direct):
1 Mg 0.0000 0.0000 0.0000
2 Mg 0.0074 0.8190 0.5144
3 Mg 0.2193 0.2952 0.5152
4 Mg 0.3528 0.7627 0.2104
5 Mg 0.4670 0.8226 0.8427
6 Mg 0.6622 0.3103 0.2300
7 Mg 0.7034 0.1857 0.5974
8 Mg 0.7693 0.5545 0.0051
9 Si 0.0660 0.5961 0.7951
10 Si 0.1107 0.3193 0.9016
11 Si 0.1250 0.4582 0.2548
12 Si 0.4115 0.1756 0.8110
13 Si 0.6903 0.5983 0.6115
14 Si 0.7736 0.9566 0.2503

Most intense lines, 2θ = 10–80°, in order of rising 2θ:
two_theta  Rel. int.
33.58  74
34.46  100
37.83  75
38.06  66
39.30  74
43.08  77


7.
Theoretical X-ray diffraction stick pattern of Mg3Si4 for a wavelength of 1.5418 Å, from a DFT-relaxed cell (PBE, the Materials Project).

Crystal structure
a b c (Å): 10.2123 10.2123 8.6427
angles (deg): 90.13 90.13 16.18
Positions (direct):
1 Mg 0.0000 0.0000 0.0000
2 Mg 0.0012 0.0012 0.4943
3 Mg 0.5901 0.5901 0.2480
4 Mg 0.6174 0.6174 0.7483
5 Mg 0.7500 0.7500 0.2407
6 Mg 0.8657 0.8657 0.7434
7 Si 0.1473 0.1473 0.0169
8 Si 0.1473 0.1473 0.4800
9 Si 0.2528 0.2528 0.8894
10 Si 0.2543 0.2543 0.5979
11 Si 0.3511 0.3511 0.0614
12 Si 0.3509 0.3509 0.4211
13 Si 0.4486 0.4486 0.2458
14 Si 0.4797 0.4797 0.7471

Most intense lines, 2θ = 10–80°, in order of rising 2θ:
two_theta  Rel. int.
33.73  36
35.51  63
35.88  33
37.86  100
39.87  34
41.23  36


8.
Theoretical X-ray diffraction stick pattern of Mg3Si4 for a wavelength of 1.5418 Å, from a DFT-relaxed cell (PBE, the Materials Project).

Crystal structure
a b c (Å): 5.0806 7.0158 7.8411
angles (deg): 110.64 93.50 101.32
Positions (direct):
1 Mg 0.0000 0.0000 0.0000
2 Mg 0.0147 0.5637 0.6829
3 Mg 0.3042 0.4055 0.9813
4 Mg 0.4266 0.2617 0.5535
5 Mg 0.5308 0.6922 0.4626
6 Mg 0.8895 0.6442 0.1584
7 Si 0.0779 0.8937 0.5414
8 Si 0.0862 0.3596 0.2973
9 Si 0.4375 0.8607 0.1595
10 Si 0.4495 0.0007 0.8097
11 Si 0.5606 0.2581 0.2069
12 Si 0.5633 0.6815 0.8385
13 Si 0.8486 0.0752 0.3799
14 Si 0.8609 0.1670 0.7233

Most intense lines, 2θ = 10–80°, in order of rising 2θ:
two_theta  Rel. int.
33.89  100
36.44  68
36.94  60
37.33  48
37.99  57
39.96  88


Question: What is the formula in the seventh record?
Answer: Mg3Si4